Diffraction record for Mg3Zn. The X-ray diffraction stick pattern is calculated, not measured: it uses a structure optimized by DFT (PBE) and Cu Kα (weighted mean of Kα1 and Kα2).
Lines closer than 0.1° are merged.

Most intense lines, 5° ≤ 2θ ≤ 70°, in order of falling intensity:
Position (°2θ)	intensity
38.2	100
38.5	49
36.0	38
33.5	30
16.7	25
17.8	20
50.0	19
66.1	18
24.5	18
60.3	16

a b c (Å): 3.095 4.995 5.298
angles (deg): 90.00 90.00 90.00
Fractional coordinates of all 4 atoms:
1 Mg 0.000 0.000 0.000
2 Mg 0.000 0.500 0.340
3 Mg 0.500 0.000 0.511
4 Zn 0.500 0.500 0.838

***

Diffraction record for TlHPd3. The X-ray diffraction stick pattern is calculated, not measured: it uses a structure optimized by DFT (PBE) and Cu Kα (weighted mean of Kα1 and Kα2).
Lines closer than 0.1° are merged.

Most intense lines, 5° ≤ 2θ ≤ 70°, in order of falling intensity:
Position (°2θ)	intensity
37.6	100
43.7	50
63.6	32
21.5	8
30.5	8
49.2	4
54.3	3
67.9	2

a b c (Å): 4.139 4.139 4.139
angles (deg): 90.00 90.00 90.00
Fractional coordinates of all 5 atoms:
1 Tl 0.000 0.000 0.000
2 H 0.500 0.500 0.500
3 Pd 0.000 0.500 0.500
4 Pd 0.500 0.000 0.500
5 Pd 0.500 0.500 0.000

***

Diffraction record for Ti2TcRu. The X-ray diffraction stick pattern is calculated, not measured: it uses a structure optimized by DFT (PBE) and Cu Kα (weighted mean of Kα1 and Kα2).
Lines closer than 0.1° are merged.

Most intense lines, 5° ≤ 2θ ≤ 70°, in order of falling intensity:
Position (°2θ)	intensity
41.3	100
28.8	18
59.8	16
67.7	7
51.1	5

a b c (Å): 4.377 4.377 4.377
angles (deg): 60.00 60.00 60.00
Fractional coordinates of all 4 atoms:
1 Ti 0.250 0.250 0.250
2 Ti 0.750 0.750 0.750
3 Tc 0.000 0.000 0.000
4 Ru 0.500 0.500 0.500